Simulated PXRD pattern of Co3P2O10 for Cu Kα (weighted mean of Kα1 and Kα2), from a PBE+U-relaxed structure.
No peak broadening, texture or thermal motion is included.

Cell and atoms:
Cell: 6.9974 7.6194 6.9059 Å, 90.00 119.47 90.00°
Atoms (fractional coordinates):
Co1 0.0000 0.0000 0.0000
Co2 0.0000 0.5000 0.5000
Co3 0.2483 0.2380 0.7688
Co4 0.2483 0.2620 0.2688
Co5 0.7517 0.7380 0.7312
Co6 0.7517 0.7620 0.2312
P1 0.2620 0.6022 0.0148
P2 0.2620 0.8978 0.5148
P3 0.7380 0.1022 0.4852
P4 0.7380 0.3978 0.9852
O1 0.0658 0.7304 0.9427
O2 0.0658 0.7696 0.4427
O3 0.1739 0.0281 0.3093
O4 0.1739 0.4719 0.8093
O5 0.2307 0.1452 0.0135
O6 0.2307 0.3548 0.5135
O7 0.3200 0.0103 0.7184
O8 0.3200 0.4897 0.2184
O9 0.4516 0.7146 0.0367
O10 0.4516 0.7854 0.5367
O11 0.5484 0.2146 0.4633
O12 0.5484 0.2854 0.9633
O13 0.6800 0.5103 0.7816
O14 0.6800 0.9897 0.2816
O15 0.7693 0.6452 0.4865
O16 0.7693 0.8548 0.9865
O17 0.8261 0.5281 0.1907
O18 0.8261 0.9719 0.6907
O19 0.9342 0.2304 0.5573
O20 0.9342 0.2696 0.0573

Most intense lines, 15° ≤ 2θ ≤ 90°, low angle first:
d = 4.758 Å, 2θ 18.6, I = 73, hkl 1 1 0
d = 4.716 Å, 2θ 18.8, I = 23, hkl 1 1 -1
d = 3.217 Å, 2θ 27.7, I = 28, hkl 1 2 -1
d = 3.180 Å, 2θ 28.1, I = 83, hkl 2 1 -1
d = 3.145 Å, 2θ 28.4, I = 100, hkl 1 1 -2
d = 3.046 Å, 2θ 29.3, I = 28, hkl 2 0 0
d = 2.342 Å, 2θ 38.4, I = 29, hkl 1 3 0
d = 1.962 Å, 2θ 46.3, I = 20, hkl 3 1 0
d = 1.608 Å, 2θ 57.3, I = 30, hkl 2 4 -2
d = 1.590 Å, 2θ 58.0, I = 23, hkl 4 2 -2